[1]
Simulated X-ray diffraction stick pattern of HfZn2F8 for Cu Kα, 1.54184 Å, from DFT lattice parameters and positions (GGA-PBE).

Atomic structure:
Unit cell a=6.479 b=6.479 c=4.057 alpha=90.00 beta=90.00 gamma=120.00
Sites, in units of the cell vectors:
Hf1 0.000 0.000 0.000
Zn1 0.333 0.667 0.735
Zn2 0.667 0.333 0.265
F1 0.154 0.307 0.746
F2 0.154 0.846 0.746
F3 0.307 0.154 0.254
F4 0.333 0.667 0.239
F5 0.667 0.333 0.761
F6 0.693 0.846 0.746
F7 0.846 0.154 0.254
F8 0.846 0.693 0.254

Top 6 peaks for 5° ≤ 2θ ≤ 70°, sorted by position:
hkl 1 0 0, 5.611 Å, intensity 48; hkl 1 0 1, 3.288 Å, intensity 92; hkl 1 1 0, 3.240 Å, intensity 100; hkl 1 1 1, 2.532 Å, intensity 27; hkl 2 1 1, 1.880 Å, intensity 42; hkl 2 0 2, 1.644 Å, intensity 26



[2]
Simulated X-ray diffraction stick pattern of HfZnF3 for Cu Kα, 1.54184 Å, from DFT lattice parameters and positions (GGA-PBE).

Atomic structure:
Unit cell a=4.281 b=4.281 c=4.281 alpha=90.00 beta=90.00 gamma=90.00
Sites, in units of the cell vectors:
Hf1 0.000 0.000 0.000
Zn1 0.500 0.500 0.500
F1 0.000 0.000 0.500
F2 0.000 0.500 0.000
F3 0.500 0.000 0.000

Top 6 peaks for 5° ≤ 2θ ≤ 70°, sorted by position:
hkl 1 0 0, 4.281 Å, intensity 36; hkl 1 1 0, 3.027 Å, intensity 100; hkl 2 0 0, 2.140 Å, intensity 34; hkl 2 1 1, 1.748 Å, intensity 41; hkl 2 2 0, 1.514 Å, intensity 21; hkl 3 1 0, 1.354 Å, intensity 18